LaHoOs: computed powder XRD pattern (CuKα), based on a structure optimized by DFT (GGA-PBE).
Lines closer than 0.1° are merged.

Top 10 peaks for 5° ≤ 2θ ≤ 70°, in order of rising 2θ:
2theta, I (rel.), hkl
12.9, 55, 0 0 2
32.5, 100, 1 0 3
36.8, 55, 1 1 0
39.2, 15, 1 1 2
42.1, 54, 1 0 5
53.1, 19, 2 0 0
53.5, 9, 0 0 8
63.7, 29, 2 1 3
66.7, 19, 1 1 8
70.0, 24, 2 1 5

Structure:
a b c (Å): 3.4495 3.4495 13.7113
angles (deg): 90.00 90.00 90.00
Space group I4mm (No. 107)
Asymmetric unit:
La  0.0000  0.0000  0.0000 [2 per cell]
Ho  0.0000  0.0000  0.2473 [2 per cell]
Os  0.0000  0.0000  0.6312 [2 per cell]

LiBSe3: computed powder XRD pattern (CuKα), based on a structure optimized by DFT (GGA-PBE).
Lines closer than 0.1° are merged.

Top 10 peaks for 5° ≤ 2θ ≤ 70°, in order of rising 2θ:
2theta, I (rel.), hkl
12.3, 15, 0 0 1
22.7, 100, 1 1 0
24.7, 16, 1 -1 1
26.2, 15, -1 1 1
30.1, 56, 1 0 -2
31.9, 26, 1 -2 0
32.3, 17, 1 -1 2
32.9, 27, 0 2 -2
40.0, 18, 0 3 0
44.7, 17, 2 1 -2

Structure:
a b c (Å): 4.8885 6.8773 7.3270
angles (deg): 100.35 92.57 90.63
Space group P-1 (No. 2)
Asymmetric unit:
Li  0.2321  0.3033  0.4317 [2 per cell]
B  0.2257  0.7567  0.1757 [2 per cell]
Se  0.0081  0.0148  0.8365 [2 per cell]
Se  0.2583  0.6895  0.4213 [2 per cell]
Se  0.3789  0.6293  0.9447 [2 per cell]

HfCo2B4: computed powder XRD pattern (CuKα), based on a structure optimized by DFT (GGA-PBE).
Lines closer than 0.1° are merged.

Top 10 peaks for 5° ≤ 2θ ≤ 70°, in order of rising 2θ:
2theta, I (rel.), hkl
14.2, 41, 0 0 2
28.5, 100, 0 1 1
30.0, 26, 1 0 1
36.3, 78, 1 0 3
43.1, 98, 1 1 2
43.5, 22, 0 0 6
45.9, 48, 0 1 5
50.3, 28, 1 1 4
68.0, 18, 2 1 1
69.5, 23, 1 2 3

Structure:
a b c (Å): 3.0719 3.2306 12.4956
angles (deg): 90.00 90.00 90.00
Space group Immm (No. 71)
Asymmetric unit:
Hf  0.0000  0.0000  0.0000 [2 per cell]
Co  0.0000  0.5000  0.3129 [4 per cell]
B  0.0000  0.0000  0.4214 [4 per cell]
B  0.0000  0.5000  0.1519 [4 per cell]

Ac3Pm2ThTe6: computed powder XRD pattern (CuKα), based on a structure optimized by DFT (GGA-PBE).
Lines closer than 0.1° are merged.

Top 10 peaks for 5° ≤ 2θ ≤ 70°, in order of rising 2θ:
2theta, I (rel.), hkl
23.7, 7, 3 1 0
27.4, 100, 6 0 0
39.1, 38, 7 1 -2
39.3, 39, 0 2 0
48.2, 7, 8 0 -4
48.6, 21, 6 2 0
56.6, 13, 2 2 -4
63.9, 6, 3 1 -6
63.9, 12, 8 2 -4
64.2, 18, 1 3 -2

Structure:
a b c (Å): 20.0642 4.5848 9.2258
angles (deg): 90.00 103.68 90.00
Space group C2/m (No. 12)
Asymmetric unit:
Ac  0.0000  0.0000  0.0000 [2 per cell]
Ac  0.1655  0.5000  0.3326 [4 per cell]
Pm  0.1651  0.5000  0.8304 [4 per cell]
Th  0.0000  0.0000  0.5000 [2 per cell]
Te  0.0039  0.5000  0.7426 [4 per cell]
Te  0.1642  0.0000  0.5929 [4 per cell]
Te  0.1714  0.0000  0.0732 [4 per cell]

CaNdBr4: computed powder XRD pattern (CuKα), based on a structure optimized by DFT (GGA-PBE).
Lines closer than 0.1° are merged.

Top 10 peaks for 5° ≤ 2θ ≤ 70°, in order of rising 2θ:
2theta, I (rel.), hkl
12.2, 76, 1 0 0
25.6, 27, 0 1 1
29.4, 52, 2 0 -2
29.9, 100, 1 1 1
38.2, 12, 2 1 1
39.7, 22, 2 0 2
42.3, 39, 1 1 -3
42.6, 37, 3 1 -1
45.8, 15, 0 2 0
55.3, 18, 2 2 -2

Structure:
a b c (Å): 7.5475 3.9661 7.6242
angles (deg): 90.00 106.41 90.00
Space group P2/m (No. 10)
Asymmetric unit:
Ca  0.0000  0.0000  0.0000 [1 per cell]
Nd  0.0000  0.5000  0.5000 [1 per cell]
Br  0.2280  0.5000  0.2368 [2 per cell]
Br  0.2421  0.0000  0.7616 [2 per cell]

NaMnAs2Rh: computed powder XRD pattern (CuKα), based on a structure optimized by DFT (GGA-PBE).
Lines closer than 0.1° are merged.

Top 10 peaks for 5° ≤ 2θ ≤ 70°, in order of rising 2θ:
2theta, I (rel.), hkl
14.4, 100, 0 0 2
23.7, 44, 1 0 1
31.4, 62, 1 0 3
35.3, 52, 1 1 2
43.8, 82, 1 1 4
46.0, 49, 2 0 0
48.5, 17, 2 0 2
55.5, 26, 1 1 6
56.8, 22, 2 1 3
67.1, 15, 2 2 0

Structure:
a b c (Å): 3.9434 3.9434 12.3418
angles (deg): 90.00 90.00 90.00
Space group I-4m2 (No. 119)
Asymmetric unit:
Na  0.0000  0.0000  0.0000 [2 per cell]
Mn  0.0000  0.5000  0.2500 [2 per cell]
As  0.0000  0.0000  0.3667 [4 per cell]
Rh  0.0000  0.5000  0.7500 [2 per cell]

Dy6MgRu: computed powder XRD pattern (CuKα), based on a structure optimized by DFT (GGA-PBE).
Lines closer than 0.1° are merged.

Top 10 peaks for 5° ≤ 2θ ≤ 70°, in order of rising 2θ:
2theta, I (rel.), hkl
15.5, 26, 1 1 0
27.0, 48, 2 0 0
28.3, 84, 1 3 -1
29.6, 17, 2 2 -1
30.5, 48, 0 0 2
31.5, 83, 2 0 -2
33.9, 100, 1 3 1
44.6, 28, 3 3 -1
49.2, 34, 1 3 -3
49.3, 17, 2 0 2

Structure:
a b c (Å): 7.2279 11.3524 6.4171
angles (deg): 90.00 114.12 90.00
Space group C2/m (No. 12)
Asymmetric unit:
Dy  0.2016  0.1971  0.2451 [8 per cell]
Dy  0.2274  0.0000  0.7752 [4 per cell]
Mg  0.0000  0.5000  0.5000 [2 per cell]
Ru  0.0000  0.0000  0.0000 [2 per cell]

Ac2LaNdS4: computed powder XRD pattern (CuKα), based on a structure optimized by DFT (GGA-PBE).
Lines closer than 0.1° are merged.

Top 10 peaks for 5° ≤ 2θ ≤ 70°, in order of rising 2θ:
2theta, I (rel.), hkl
25.8, 23, 0 0 2
25.9, 22, 2 0 0
26.0, 44, 1 1 -1
30.0, 100, 1 1 1
42.7, 13, 2 0 2
42.9, 25, 1 1 -3
43.0, 25, 3 1 -1
50.9, 19, 3 1 1
51.1, 15, 0 2 2
53.5, 13, 2 2 -2

Structure:
a b c (Å): 7.2901 4.1849 7.3270
angles (deg): 90.00 109.26 90.00
Space group P2/m (No. 10)
Asymmetric unit:
Ac  0.0000  0.0000  0.0000 [1 per cell]
Ac  0.5000  0.5000  0.0000 [1 per cell]
La  0.0000  0.5000  0.5000 [1 per cell]
Nd  0.5000  0.0000  0.5000 [1 per cell]
S  0.2483  0.0000  0.7379 [2 per cell]
S  0.2570  0.5000  0.2635 [2 per cell]

SrNd: computed powder XRD pattern (CuKα), based on a structure optimized by DFT (GGA-PBE).
Lines closer than 0.1° are merged.

Top 10 peaks for 5° ≤ 2θ ≤ 70°, in order of rising 2θ:
2theta, I (rel.), hkl
6.9, 34, 0 0 1
26.2, 24, 1 0 0
27.7, 23, 0 0 4
29.7, 100, 1 0 2
33.6, 10, 1 0 3
38.5, 15, 0 1 4
46.2, 20, 1 1 0
50.3, 16, 1 0 6
54.7, 21, 1 1 4
55.9, 17, 0 2 2

Structure:
a b c (Å): 3.9297 3.9297 12.8692
angles (deg): 90.00 90.00 120.00
Space group P-3m1 (No. 164)
Asymmetric unit:
Sr  0.3333  0.6667  0.1392 [2 per cell]
Nd  0.3333  0.6667  0.6077 [2 per cell]

CsTl4Hg4: computed powder XRD pattern (CuKα), based on a structure optimized by DFT (GGA-PBE).
Lines closer than 0.1° are merged.

Top 10 peaks for 5° ≤ 2θ ≤ 70°, in order of rising 2θ:
2theta, I (rel.), hkl
10.5, 4, 1 1 0
14.9, 4, 2 0 0
31.3, 100, 3 0 1
31.9, 46, 3 3 0
43.9, 14, 0 0 2
45.7, 16, 6 0 0
55.3, 20, 3 3 2
56.4, 33, 6 3 1
65.3, 12, 6 0 2
66.6, 4, 6 6 0

Structure:
a b c (Å): 11.9100 11.9100 4.1205
angles (deg): 90.00 90.00 90.00
Space group I4/mmm (No. 139)
Asymmetric unit:
Cs  0.0000  0.0000  0.0000 [2 per cell]
Tl  0.0000  0.3326  0.0000 [8 per cell]
Hg  0.1828  0.1828  0.5000 [8 per cell]

RbCdSb2: computed powder XRD pattern (CuKα), based on a structure optimized by DFT (GGA-PBE).
Lines closer than 0.1° are merged.

Top 10 peaks for 5° ≤ 2θ ≤ 70°, in order of rising 2θ:
2theta, I (rel.), hkl
6.1, 56, 0 2 0
12.2, 71, 0 4 0
24.6, 24, 0 8 0
25.0, 100, 1 5 1
30.0, 83, 2 4 0
31.3, 74, 0 4 2
34.3, 30, 1 9 1
37.1, 35, 2 8 0
38.1, 32, 0 8 2
40.1, 66, 2 0 2

Structure:
a b c (Å): 6.5236 28.9830 6.2169
angles (deg): 90.00 90.00 90.00
Space group Fmm2 (No. 42)
Asymmetric unit:
Rb  0.0000  0.1126  0.0000 [8 per cell]
Cd  0.2500  0.2500  0.2498 [8 per cell]
Sb  0.0000  0.1844  0.4998 [8 per cell]
Sb  0.2171  0.0000  0.7046 [8 per cell]

LiInTe6Mo6: computed powder XRD pattern (CuKα), based on a structure optimized by DFT (GGA-PBE).
Lines closer than 0.1° are merged.

Top 10 peaks for 5° ≤ 2θ ≤ 70°, in order of rising 2θ:
2theta, I (rel.), hkl
10.9, 100, 1 0 0
27.1, 44, 1 1 1
29.1, 41, 2 1 0
35.1, 66, 2 1 1
39.0, 34, 0 0 2
40.1, 19, 3 1 0
43.3, 29, 2 2 1
44.8, 48, 3 1 1
49.4, 19, 2 1 2
53.0, 19, 2 3 1

Structure:
a b c (Å): 9.3660 9.3660 4.6243
angles (deg): 90.00 90.00 120.00
Space group P-6 (No. 174)
Asymmetric unit:
Li  0.0000  0.0000  0.0000 [1 per cell]
In  0.6667  0.3333  0.5000 [1 per cell]
Te  0.0313  0.7495  0.5000 [3 per cell]
Te  0.4105  0.0471  0.0000 [3 per cell]
Mo  0.1537  0.5255  0.5000 [3 per cell]
Mo  0.1909  0.7045  0.0000 [3 per cell]